Diffraction record for Li5BO4. The XRD peak list is simulated, not measured: it uses the GGA-PBE geometry in the Materials Project and Cu Kα X-rays.
Neutral-atom scattering factors, no anomalous dispersion.

```
data_Li5BO4
_chemical_formula_sum 'Li10 B2 O8'
_symmetry_space_group_name_H-M 'P m m n'
_symmetry_Int_Tables_number 59
_cell_length_a 5.9749
_cell_length_b 6.0905
_cell_length_c 4.5748
_cell_angle_alpha 90.00
_cell_angle_beta 90.00
_cell_angle_gamma 90.00
loop_
_symmetry_equiv_pos_as_xyz
'x,y,z'
'-x,-y,-z'
'-x+1/2,-y+1/2,z'
'x+1/2,y+1/2,-z'
'x+1/2,-y,-z'
'-x+1/2,y,z'
'-x,y+1/2,-z'
'x,-y+1/2,z'
loop_
_atom_site_label
_atom_site_type_symbol
_atom_site_fract_x
_atom_site_fract_y
_atom_site_fract_z
Li1 Li 0.0101 0.0520 0.2419
Li2 Li 0.2500 0.7500 0.3222
B1 B 0.2500 0.2500 0.7207
O1 O 0.0373 0.2500 0.9048
O2 O 0.2500 0.0417 0.5332
```

Peak list (10 most intense, 10 to 90 degrees two-theta, low angle first)
2θ = 20.83°, rel. 557
2θ = 24.33°, rel. 630
2θ = 24.51°, rel. 167
2θ = 35.41°, rel. 717
2θ = 35.90°, rel. 1000
2θ = 49.09°, rel. 178
2θ = 52.31°, rel. 139
2θ = 52.58°, rel. 184
2θ = 59.24°, rel. 374
2θ = 62.14°, rel. 141